1.
Diffraction record for Li2MnPCO7. The XRD peak list is simulated, not measured: it uses a DFT-relaxed cell (PBE+U, the Materials Project) and Cu Kα.
Lines closer than 0.1° are merged.

Peak list (10 most intense, 2θ from 10° to 80°, by angle)
hkl 1 0 0, 10.47°, rel. 100
hkl 1 1 0, 17.30°, rel. 36
hkl 1 0 -2, 20.04°, rel. 39
hkl 1 0 2, 21.18°, rel. 61
hkl 1 1 2, 25.33°, rel. 38
hkl 2 0 -2, 26.74°, rel. 36
hkl 0 2 0, 27.68°, rel. 100
hkl 3 0 0, 31.75°, rel. 30
hkl 1 0 -4, 36.79°, rel. 25
hkl 3 1 2, 40.20°, rel. 27

Cell and atoms:
Cell lengths 8.468, 6.445, 10.036 Å; angles 90.00, 93.57, 90.00 degrees
Space group Pc (No. 7)
One atom of each set of equivalent atoms:
Li 0.000 0.006 0.000 (multiplicity 2)
Li 0.161 0.213 0.261 (multiplicity 2)
Li 0.626 0.287 0.018 (multiplicity 2)
Li 0.629 0.286 0.516 (multiplicity 2)
Mn 0.214 0.499 0.984 (multiplicity 2)
Mn 0.556 0.004 0.793 (multiplicity 2)
P 0.308 0.003 0.030 (multiplicity 2)
P 0.475 0.493 0.256 (multiplicity 2)
C 0.847 0.008 0.244 (multiplicity 2)
C 0.932 0.499 0.526 (multiplicity 2)
O 0.054 0.484 0.116 (multiplicity 2)
O 0.204 0.182 0.480 (multiplicity 2)
O 0.206 0.189 0.982 (multiplicity 2)
O 0.308 0.475 0.310 (multiplicity 2)
O 0.338 0.011 0.183 (multiplicity 2)
O 0.456 0.499 0.101 (multiplicity 2)
O 0.475 0.002 0.472 (multiplicity 2)
O 0.564 0.313 0.814 (multiplicity 2)
O 0.577 0.305 0.308 (multiplicity 2)
O 0.717 0.007 0.660 (multiplicity 2)
O 0.791 0.497 0.062 (multiplicity 2)
O 0.821 0.001 0.869 (multiplicity 2)
O 0.973 0.478 0.406 (multiplicity 2)
O 0.979 0.032 0.195 (multiplicity 2)

***

2.
Diffraction record for NaLi3Fe4Si8O24. The XRD peak list is simulated, not measured: it uses a DFT-relaxed cell (PBE+U, the Materials Project) and Cu Kα.
Lines closer than 0.1° are merged.

Peak list (10 most intense, 2θ from 10° to 80°, by angle)
hkl 0 1 1, 13.90°, rel. 50
hkl 1 1 0, 19.73°, rel. 29
hkl 0 2 0, 20.19°, rel. 25
hkl 1 1 -2, 24.91°, rel. 27
hkl 1 2 1, 29.48°, rel. 100
hkl 0 1 3, 30.76°, rel. 57
hkl 1 3 0, 35.07°, rel. 19
hkl 2 0 -2, 35.55°, rel. 34
hkl 1 2 -3, 36.68°, rel. 27
hkl 1 3 -6, 67.57°, rel. 22

Cell and atoms:
Cell lengths 5.364, 8.797, 9.466 Å; angles 90.00, 102.59, 90.00 degrees
Space group P2 (No. 3)
One atom of each set of equivalent atoms:
Na 0.000 0.000 0.000 (multiplicity 1)
Li 0.000 0.941 0.500 (multiplicity 1)
Li 0.500 0.442 0.000 (multiplicity 1)
Li 0.500 0.478 0.500 (multiplicity 1)
Fe 0.000 0.311 0.500 (multiplicity 1)
Fe 0.000 0.608 0.000 (multiplicity 1)
Fe 0.500 0.107 0.500 (multiplicity 1)
Fe 0.500 0.808 0.000 (multiplicity 1)
Si 0.214 0.300 0.206 (multiplicity 2)
Si 0.215 0.620 0.705 (multiplicity 2)
Si 0.286 0.797 0.296 (multiplicity 2)
Si 0.289 0.120 0.792 (multiplicity 2)
O 0.056 0.710 0.355 (multiplicity 2)
O 0.060 0.210 0.851 (multiplicity 2)
O 0.208 0.452 0.633 (multiplicity 2)
O 0.208 0.466 0.133 (multiplicity 2)
O 0.218 0.124 0.614 (multiplicity 2)
O 0.223 0.787 0.117 (multiplicity 2)
O 0.282 0.623 0.883 (multiplicity 2)
O 0.283 0.295 0.385 (multiplicity 2)
O 0.292 0.966 0.366 (multiplicity 2)
O 0.306 0.951 0.861 (multiplicity 2)
O 0.441 0.210 0.146 (multiplicity 2)
O 0.442 0.708 0.643 (multiplicity 2)

***

3.
Diffraction record for Li5Mn2Fe17O32. The XRD peak list is simulated, not measured: it uses a DFT-relaxed cell (PBE+U, the Materials Project) and Cu Kα.
Lines closer than 0.1° are merged.

Peak list (10 most intense, 2θ from 10° to 80°, by angle)
hkl 0 1 -1, 14.79°, rel. 17
hkl 0 2 1, 23.49°, rel. 25
hkl 2 1 -1, 25.76°, rel. 15
hkl 2 0 2, 29.84°, rel. 40
hkl 1 3 1, 35.13°, rel. 100
hkl 3 1 1, 35.21°, rel. 20
hkl 0 0 4, 42.67°, rel. 17
hkl 1 -1 5, 56.41°, rel. 27
hkl 5 1 -1, 56.53°, rel. 12
hkl 0 4 4, 62.00°, rel. 39

Cell and atoms:
Cell lengths 8.454, 8.474, 8.477 Å; angles 90.13, 90.00, 90.09 degrees
Space group P1 (No. 1)
One atom of each set of equivalent atoms:
Li 0.000 0.000 0.000 (multiplicity 1)
Li 0.121 0.879 0.367 (multiplicity 1)
Li 0.369 0.127 0.871 (multiplicity 1)
Li 0.620 0.627 0.623 (multiplicity 1)
Li 0.871 0.373 0.121 (multiplicity 1)
Mn 0.869 0.627 0.870 (multiplicity 1)
Mn 0.873 0.128 0.366 (multiplicity 1)
Fe 0.116 0.632 0.127 (multiplicity 1)
Fe 0.122 0.365 0.878 (multiplicity 1)
Fe 0.126 0.121 0.628 (multiplicity 1)
Fe 0.241 0.252 0.244 (multiplicity 1)
Fe 0.242 0.753 0.748 (multiplicity 1)
Fe 0.358 0.884 0.120 (multiplicity 1)
Fe 0.371 0.633 0.377 (multiplicity 1)
Fe 0.377 0.378 0.627 (multiplicity 1)
Fe 0.498 0.001 0.496 (multiplicity 1)
Fe 0.498 0.503 0.999 (multiplicity 1)
Fe 0.618 0.877 0.866 (multiplicity 1)
Fe 0.625 0.132 0.117 (multiplicity 1)
Fe 0.625 0.384 0.371 (multiplicity 1)
Fe 0.745 0.757 0.240 (multiplicity 1)
Fe 0.749 0.255 0.746 (multiplicity 1)
Fe 0.870 0.872 0.619 (multiplicity 1)
Fe 0.998 0.499 0.499 (multiplicity 1)
O 0.101 0.130 0.379 (multiplicity 1)
O 0.103 0.620 0.878 (multiplicity 1)
O 0.110 0.885 0.620 (multiplicity 1)
O 0.120 0.141 0.856 (multiplicity 1)
O 0.123 0.391 0.113 (multiplicity 1)
O 0.124 0.622 0.363 (multiplicity 1)
O 0.132 0.369 0.629 (multiplicity 1)
O 0.137 0.858 0.126 (multiplicity 1)
O 0.363 0.137 0.615 (multiplicity 1)
O 0.364 0.383 0.862 (multiplicity 1)
O 0.364 0.632 0.131 (multiplicity 1)
O 0.369 0.619 0.613 (multiplicity 1)
O 0.375 0.867 0.363 (multiplicity 1)
O 0.380 0.386 0.381 (multiplicity 1)
O 0.381 0.120 0.127 (multiplicity 1)
O 0.382 0.873 0.878 (multiplicity 1)
O 0.611 0.887 0.110 (multiplicity 1)
O 0.613 0.376 0.612 (multiplicity 1)
O 0.619 0.619 0.369 (multiplicity 1)
O 0.621 0.368 0.132 (multiplicity 1)
O 0.630 0.119 0.881 (multiplicity 1)
O 0.630 0.877 0.630 (multiplicity 1)
O 0.637 0.137 0.366 (multiplicity 1)
O 0.639 0.632 0.873 (multiplicity 1)
O 0.858 0.131 0.148 (multiplicity 1)
O 0.858 0.853 0.857 (multiplicity 1)
O 0.863 0.361 0.376 (multiplicity 1)
O 0.866 0.894 0.380 (multiplicity 1)
O 0.873 0.633 0.636 (multiplicity 1)
O 0.877 0.631 0.104 (multiplicity 1)
O 0.878 0.119 0.607 (multiplicity 1)
O 0.878 0.396 0.869 (multiplicity 1)

***

4.
Diffraction record for Li9Mn2Co5O16. The XRD peak list is simulated, not measured: it uses a DFT-relaxed cell (PBE+U, the Materials Project) and Cu Kα.
Lines closer than 0.1° are merged.

Peak list (10 most intense, 2θ from 10° to 80°, by angle)
hkl 0 0 2, 18.34°, rel. 100
hkl 1 2 1, 35.33°, rel. 15
hkl 1 -2 1, 35.94°, rel. 13
hkl 2 0 0, 36.74°, rel. 12
hkl 1 2 3, 42.63°, rel. 29
hkl 1 -2 3, 43.54°, rel. 28
hkl 2 0 -2, 44.58°, rel. 25
hkl 2 0 4, 47.58°, rel. 9
hkl 0 4 0, 62.48°, rel. 8
hkl 2 0 6, 62.66°, rel. 8

Cell and atoms:
Cell lengths 4.985, 5.947, 9.859 Å; angles 89.06, 78.99, 89.14 degrees
Space group P1 (No. 1)
One atom of each set of equivalent atoms:
Li 0.000 0.000 0.000 (multiplicity 1)
Li 0.000 0.237 0.495 (multiplicity 1)
Li 0.000 0.485 0.002 (multiplicity 1)
Li 0.504 0.990 0.487 (multiplicity 1)
Li 0.506 0.238 0.990 (multiplicity 1)
Li 0.506 0.489 0.488 (multiplicity 1)
Li 0.511 0.745 0.995 (multiplicity 1)
Li 0.752 0.241 0.244 (multiplicity 1)
Li 0.992 0.734 0.491 (multiplicity 1)
Mn 0.252 0.990 0.243 (multiplicity 1)
Mn 0.253 0.742 0.743 (multiplicity 1)
Co 0.248 0.238 0.747 (multiplicity 1)
Co 0.254 0.478 0.243 (multiplicity 1)
Co 0.752 0.990 0.744 (multiplicity 1)
Co 0.753 0.745 0.243 (multiplicity 1)
Co 0.755 0.489 0.740 (multiplicity 1)
O 0.104 0.477 0.621 (multiplicity 1)
O 0.113 0.985 0.632 (multiplicity 1)
O 0.117 0.754 0.132 (multiplicity 1)
O 0.152 0.229 0.128 (multiplicity 1)
O 0.352 0.220 0.359 (multiplicity 1)
O 0.388 0.748 0.354 (multiplicity 1)
O 0.389 0.496 0.857 (multiplicity 1)
O 0.405 0.998 0.862 (multiplicity 1)
O 0.608 0.734 0.624 (multiplicity 1)
O 0.618 0.229 0.631 (multiplicity 1)
O 0.619 0.971 0.135 (multiplicity 1)
O 0.623 0.519 0.137 (multiplicity 1)
O 0.883 0.749 0.854 (multiplicity 1)
O 0.885 0.515 0.350 (multiplicity 1)
O 0.885 0.968 0.351 (multiplicity 1)
O 0.898 0.248 0.866 (multiplicity 1)

***

5.
Diffraction record for GaFeO3. The XRD peak list is simulated, not measured: it uses a DFT-relaxed cell (PBE+U, the Materials Project) and Cu Kα.
Lines closer than 0.1° are merged.

Peak list (8 most intense, 2θ from 10° to 80°, by angle)
hkl 1 0 0, 23.51°, rel. 9
hkl 1 1 0, 33.48°, rel. 100
hkl 1 1 1, 41.32°, rel. 3
hkl 2 0 0, 48.08°, rel. 41
hkl 2 1 0, 54.19°, rel. 3
hkl 2 1 1, 59.86°, rel. 37
hkl 2 2 0, 70.36°, rel. 23
hkl 3 0 0, 75.34°, rel. 1

Cell and atoms:
Cell lengths 3.785, 3.785, 3.785 Å; angles 90.00, 90.00, 90.00 degrees
Space group Pm-3m (No. 221)
One atom of each set of equivalent atoms:
Ga 0.000 0.000 0.000 (multiplicity 1)
Fe 0.500 0.500 0.500 (multiplicity 1)
O 0.000 0.000 0.500 (multiplicity 3)

***

6.
Diffraction record for Li4V2SiGeO10. The XRD peak list is simulated, not measured: it uses a DFT-relaxed cell (PBE+U, the Materials Project) and Cu Kα.
Lines closer than 0.1° are merged.

Peak list (10 most intense, 2θ from 10° to 80°, by angle)
hkl 0 0 1, 19.41°, rel. 75
hkl 1 0 1, 23.77°, rel. 36
hkl 2 0 0, 27.39°, rel. 100
hkl 2 0 1, 33.79°, rel. 88
hkl 2 1 1, 36.57°, rel. 17
hkl 1 0 2, 41.87°, rel. 17
hkl 2 2 1, 44.01°, rel. 23
hkl 4 0 0, 56.51°, rel. 26
hkl 2 2 2, 56.73°, rel. 24
hkl 4 2 1, 67.48°, rel. 21

Cell and atoms:
Cell lengths 6.514, 6.514, 4.574 Å; angles 90.00, 90.00, 90.00 degrees
Space group P-4m2 (No. 115)
One atom of each set of equivalent atoms:
Li 0.245 0.245 0.000 (multiplicity 4)
V 0.000 0.500 0.411 (multiplicity 2)
Si 0.000 0.000 0.500 (multiplicity 1)
Ge 0.500 0.500 0.500 (multiplicity 1)
O 0.000 0.204 0.286 (multiplicity 4)
O 0.000 0.500 0.778 (multiplicity 2)
O 0.285 0.500 0.264 (multiplicity 4)